Record 1
Mn3NiO4: calculated PXRD pattern (copper Kα), based on a GGA+U-relaxed structure.
Kinematic intensities with the Lorentz-polarization factor, no thermal factor.

Atomic structure:
a = 5.428 Å, b = 5.428 Å, c = 3.141 Å
α = 90.00°, β = 90.00°, γ = 109.57°
Fractional positions:
Mn  0.000  0.000  0.000
Mn  0.000  0.500  0.500
Mn  0.500  0.000  0.500
Ni  0.500  0.500  0.000
O  0.253  0.747  0.000
O  0.259  0.259  0.500
O  0.741  0.741  0.500
O  0.747  0.253  0.000

Peak list (10 most intense, 10° ≤ 2θ ≤ 80°, by angle)
2theta  Rel. int.
17.3  1
35.0  65
40.7  100
58.8  10
58.9  39
59.0  10
70.4  17
70.5  8
74.0  9
74.2  9

---

Record 2
MnNiP2O8: calculated PXRD pattern (copper Kα), based on a GGA+U-relaxed structure.
Kinematic intensities with the Lorentz-polarization factor, no thermal factor.

Atomic structure:
a = 4.768 Å, b = 5.765 Å, c = 9.867 Å
α = 90.00°, β = 90.62°, γ = 90.00°
Fractional positions:
Mn  0.038  0.250  0.277
Mn  0.962  0.750  0.723
Ni  0.456  0.250  0.767
Ni  0.544  0.750  0.233
P  0.086  0.750  0.413
P  0.401  0.750  0.903
P  0.599  0.250  0.097
P  0.914  0.250  0.587
O  0.183  0.750  0.564
O  0.228  0.250  0.599
O  0.233  0.540  0.337
O  0.233  0.960  0.337
O  0.239  0.547  0.826
O  0.239  0.953  0.826
O  0.283  0.250  0.125
O  0.350  0.750  0.053
O  0.650  0.250  0.947
O  0.717  0.750  0.875
O  0.761  0.047  0.174
O  0.761  0.453  0.174
O  0.767  0.040  0.663
O  0.767  0.460  0.663
O  0.772  0.750  0.401
O  0.817  0.250  0.436

Peak list (10 most intense, 10° ≤ 2θ ≤ 80°, by angle)
2theta  Rel. int.
18.0  96
20.6  63
20.8  43
23.7  31
25.8  80
25.9  65
31.0  100
36.5  72
36.8  74
53.1  26

---

Record 3
MnNiP2O8: calculated PXRD pattern (copper Kα), based on a GGA+U-relaxed structure.
Kinematic intensities with the Lorentz-polarization factor, no thermal factor.

Atomic structure:
a = 8.559 Å, b = 8.559 Å, c = 8.559 Å
α = 60.60°, β = 60.60°, γ = 60.60°
Fractional positions:
Mn  0.000  0.000  0.000
Mn  0.145  0.145  0.145
Mn  0.642  0.642  0.642
Ni  0.285  0.285  0.285
Ni  0.500  0.500  0.500
Ni  0.785  0.785  0.785
P  0.098  0.684  0.392
P  0.185  0.603  0.892
P  0.392  0.098  0.684
P  0.603  0.892  0.185
P  0.684  0.392  0.098
P  0.892  0.185  0.603
O  0.033  0.633  0.827
O  0.056  0.196  0.407
O  0.082  0.885  0.226
O  0.128  0.529  0.332
O  0.146  0.764  0.955
O  0.196  0.407  0.056
O  0.226  0.082  0.885
O  0.251  0.658  0.452
O  0.332  0.128  0.529
O  0.385  0.589  0.735
O  0.407  0.056  0.196
O  0.452  0.251  0.658
O  0.529  0.332  0.128
O  0.550  0.897  0.704
O  0.589  0.735  0.385
O  0.633  0.827  0.033
O  0.658  0.452  0.251
O  0.704  0.550  0.897
O  0.735  0.385  0.589
O  0.764  0.955  0.146
O  0.827  0.033  0.633
O  0.885  0.226  0.082
O  0.897  0.704  0.550
O  0.955  0.146  0.764

Peak list (10 most intense, 10° ≤ 2θ ≤ 80°, by angle)
2theta  Rel. int.
20.6  94
24.3  100
31.9  17
33.1  70
36.0  43
47.4  35
49.7  27
56.4  31
56.7  17
62.9  20

---

Record 4
MnNiP2O8: calculated PXRD pattern (copper Kα), based on a GGA+U-relaxed structure.
Kinematic intensities with the Lorentz-polarization factor, no thermal factor.

Atomic structure:
a = 8.417 Å, b = 8.417 Å, c = 8.417 Å
α = 60.79°, β = 60.79°, γ = 60.79°
Fractional positions:
Mn  0.000  0.000  0.000
Mn  0.217  0.217  0.217
Mn  0.717  0.717  0.717
Ni  0.361  0.361  0.361
Ni  0.500  0.500  0.500
Ni  0.859  0.859  0.859
P  0.108  0.817  0.398
P  0.317  0.606  0.900
P  0.398  0.108  0.817
P  0.606  0.900  0.317
P  0.817  0.398  0.108
P  0.900  0.317  0.606
O  0.040  0.858  0.238
O  0.105  0.301  0.444
O  0.115  0.773  0.921
O  0.168  0.979  0.366
O  0.238  0.040  0.858
O  0.263  0.619  0.415
O  0.301  0.444  0.105
O  0.343  0.547  0.747
O  0.366  0.168  0.979
O  0.415  0.263  0.619
O  0.444  0.105  0.301
O  0.479  0.667  0.868
O  0.547  0.747  0.343
O  0.598  0.938  0.810
O  0.619  0.415  0.263
O  0.667  0.868  0.479
O  0.747  0.343  0.547
O  0.773  0.921  0.115
O  0.810  0.598  0.938
O  0.858  0.238  0.040
O  0.868  0.479  0.667
O  0.921  0.115  0.773
O  0.938  0.810  0.598
O  0.979  0.366  0.168

Peak list (10 most intense, 10° ≤ 2θ ≤ 80°, by angle)
2theta  Rel. int.
20.9  100
24.6  97
25.7  20
33.6  70
36.5  41
48.2  38
50.5  26
57.2  26
57.7  19
63.9  20

---

Record 5
MnNi3P4O16: calculated PXRD pattern (copper Kα), based on a GGA+U-relaxed structure.
Kinematic intensities with the Lorentz-polarization factor, no thermal factor.

Atomic structure:
a = 4.790 Å, b = 5.815 Å, c = 9.911 Å
α = 90.00°, β = 90.18°, γ = 90.00°
Fractional positions:
Mn  0.000  0.000  0.000
Ni  0.421  0.000  0.504
Ni  0.503  0.500  0.045
Ni  0.924  0.500  0.547
P  0.045  0.500  0.866
P  0.368  0.500  0.369
P  0.558  0.000  0.180
P  0.869  0.000  0.682
O  0.135  0.500  0.719
O  0.186  0.000  0.667
O  0.191  0.292  0.943
O  0.191  0.708  0.943
O  0.221  0.295  0.443
O  0.221  0.705  0.443
O  0.240  0.000  0.156
O  0.300  0.500  0.218
O  0.623  0.000  0.329
O  0.686  0.500  0.386
O  0.711  0.203  0.103
O  0.711  0.797  0.103
O  0.723  0.206  0.608
O  0.723  0.794  0.608
O  0.731  0.500  0.882
O  0.791  0.000  0.834

Peak list (10 most intense, 10° ≤ 2θ ≤ 80°, by angle)
2theta  Rel. int.
17.9  67
20.6  72
23.6  20
25.7  96
30.2  18
30.8  69
36.5  100
37.3  24
52.9  27
58.5  24

---

Record 6
MnNiP2O7: calculated PXRD pattern (copper Kα), based on a GGA+U-relaxed structure.
Kinematic intensities with the Lorentz-polarization factor, no thermal factor.

Atomic structure:
a = 4.548 Å, b = 5.367 Å, c = 5.379 Å
α = 104.23°, β = 97.80°, γ = 97.70°
Fractional positions:
Mn  0.000  0.000  0.000
Ni  0.000  0.377  0.622
P  0.408  0.916  0.515
P  0.592  0.485  0.084
O  0.215  0.089  0.398
O  0.235  0.750  0.659
O  0.289  0.320  0.932
O  0.500  0.740  0.260
O  0.712  0.066  0.679
O  0.765  0.340  0.251
O  0.786  0.600  0.912

Peak list (10 most intense, 10° ≤ 2θ ≤ 80°, by angle)
2theta  Rel. int.
17.3  15
28.8  52
29.1  100
30.5  72
34.7  24
35.0  27
41.9  27
44.0  15
49.4  18
57.0  22

---

Q: Number 6 is which compound?
A: MnNiP2O7